(1)
For Os6C7, a crystal structure in Alexandria, relaxed with PBE gives the theoretical powder XRD pattern in this record (Cu Kα, 1.54184 Å).

Principal peaks in the range 10° ≤ 2θ ≤ 80°, in order of rising 2θ:
2θ (°)	d/Å	I/Imax
25.51	3.492	24
26.05	3.420	46
29.58	3.020	23
35.28	2.544	100
39.91	2.259	96
44.63	2.030	97
58.14	1.587	26
61.40	1.510	27
74.43	1.275	37
79.03	1.212	25

Cell and atoms:
Cell lengths 10.101, 10.101, 10.101 Å; angles 23.19, 23.19, 23.19 degrees
Sites, in units of the cell vectors:
Os  0.087  0.087  0.087
Os  0.196  0.196  0.196
Os  0.309  0.309  0.309
Os  0.691  0.691  0.691
Os  0.804  0.804  0.804
Os  0.913  0.913  0.913
C  0.148  0.541  0.541
C  0.459  0.459  0.852
C  0.459  0.852  0.459
C  0.500  0.500  0.500
C  0.541  0.148  0.541
C  0.541  0.541  0.148
C  0.852  0.459  0.459



(2)
For Os2C, a crystal structure in Alexandria, relaxed with PBE gives the theoretical powder XRD pattern in this record (Cu Kα, 1.54184 Å).

Principal peaks in the range 10° ≤ 2θ ≤ 80°, in order of rising 2θ:
2θ (°)	d/Å	I/Imax
35.26	2.545	72
37.36	2.407	56
38.08	2.363	86
39.08	2.305	77
41.17	2.192	23
41.82	2.160	72
42.26	2.139	100
48.61	1.873	34
54.55	1.682	33
66.69	1.403	22

Cell and atoms:
Cell lengths 5.169, 5.169, 5.108 Å; angles 94.54, 94.54, 31.49 degrees
Sites, in units of the cell vectors:
Os  0.000  0.000  0.000
Os  0.104  0.104  0.520
Os  0.372  0.372  0.372
Os  0.733  0.733  0.934
C  0.383  0.383  0.778
C  0.704  0.704  0.318



(3)
For Os5C, a crystal structure in Alexandria, relaxed with PBE gives the theoretical powder XRD pattern in this record (Cu Kα, 1.54184 Å).

Principal peaks in the range 10° ≤ 2θ ≤ 80°, in order of rising 2θ:
2θ (°)	d/Å	I/Imax
35.50	2.529	26
39.29	2.293	10
40.57	2.224	58
41.12	2.195	41
42.04	2.149	10
44.21	2.049	100
55.42	1.658	15
67.34	1.390	19
74.55	1.273	10
77.09	1.237	20

Cell and atoms:
Cell lengths 6.811, 6.811, 2.749 Å; angles 90.00, 90.00, 142.39 degrees
Sites, in units of the cell vectors:
Os  0.000  0.000  0.000
Os  0.186  0.814  0.500
Os  0.374  0.626  0.000
Os  0.626  0.374  0.000
Os  0.814  0.186  0.500
C  0.500  0.500  0.500



(4)
For Os5C3, a crystal structure in Alexandria, relaxed with PBE gives the theoretical powder XRD pattern in this record (Cu Kα, 1.54184 Å).

Principal peaks in the range 10° ≤ 2θ ≤ 80°, in order of rising 2θ:
2θ (°)	d/Å	I/Imax
33.03	2.712	100
34.49	2.601	31
37.37	2.406	38
41.40	2.181	81
46.18	1.966	20
46.33	1.960	18
48.48	1.878	27
52.80	1.734	23
64.73	1.440	29
71.87	1.314	16

Cell and atoms:
Cell lengths 6.001, 6.347, 6.005 Å; angles 90.00, 119.92, 90.00 degrees
Sites, in units of the cell vectors:
Os  0.054  0.250  0.260
Os  0.239  0.250  0.793
Os  0.294  0.750  0.554
Os  0.334  0.544  0.166
Os  0.334  0.956  0.166
Os  0.666  0.044  0.834
Os  0.666  0.456  0.834
Os  0.706  0.250  0.446
Os  0.761  0.750  0.207
Os  0.946  0.750  0.740
C  0.045  0.750  0.125
C  0.376  0.750  0.919
C  0.419  0.250  0.544
C  0.581  0.750  0.456
C  0.624  0.250  0.081
C  0.955  0.250  0.875



(5)
For Os3C2, a crystal structure in Alexandria, relaxed with PBE gives the theoretical powder XRD pattern in this record (Cu Kα, 1.54184 Å).

Principal peaks in the range 10° ≤ 2θ ≤ 80°, in order of rising 2θ:
2θ (°)	d/Å	I/Imax
32.90	2.723	55
37.24	2.414	29
37.80	2.380	9
39.97	2.256	62
41.54	2.174	100
45.49	1.994	9
53.13	1.724	31
65.80	1.419	27
66.79	1.401	28
76.48	1.245	31

Cell and atoms:
Cell lengths 8.326, 8.326, 8.326 Å; angles 19.37, 19.37, 19.37 degrees
Sites, in units of the cell vectors:
Os  0.000  0.000  0.000
Os  0.215  0.215  0.215
Os  0.785  0.785  0.785
C  0.396  0.396  0.396
C  0.604  0.604  0.604



(6)
For OsC, a crystal structure in Alexandria, relaxed with PBE gives the theoretical powder XRD pattern in this record (Cu Kα, 1.54184 Å).

Principal peaks in the range 10° ≤ 2θ ≤ 80°, in order of rising 2θ:
2θ (°)	d/Å	I/Imax
19.71	4.503	12
31.51	2.839	51
34.50	2.600	100
40.04	2.252	12
47.41	1.918	90
51.82	1.764	13
61.80	1.501	15
63.75	1.460	11
71.03	1.327	18
76.44	1.246	21

Cell and atoms:
Cell lengths 5.200, 5.200, 2.839 Å; angles 90.00, 90.00, 120.00 degrees
Sites, in units of the cell vectors:
Os  0.000  0.380  0.000
Os  0.380  0.000  0.000
Os  0.620  0.620  0.000
C  0.000  0.000  0.000
C  0.333  0.667  0.500
C  0.667  0.333  0.500



(7)
For POsCS, a crystal structure in Alexandria, relaxed with PBE gives the theoretical powder XRD pattern in this record (Cu Kα, 1.54184 Å).

Principal peaks in the range 10° ≤ 2θ ≤ 80°, in order of rising 2θ:
2θ (°)	d/Å	I/Imax
17.89	4.959	100
23.09	3.853	65
26.12	3.411	21
32.30	2.772	36
33.19	2.699	53
34.54	2.597	31
38.82	2.320	21
41.12	2.195	48
44.45	2.038	22
46.38	1.958	25

Cell and atoms:
Cell lengths 4.207, 4.207, 5.730 Å; angles 118.00, 118.00, 40.89 degrees
Sites, in units of the cell vectors:
P  0.000  0.000  0.000
Os  0.195  0.195  0.806
C  0.481  0.481  0.172
S  0.473  0.473  0.483



(8)
For Sc2PaOsC4, a crystal structure in Alexandria, relaxed with PBE gives the theoretical powder XRD pattern in this record (Cu Kα, 1.54184 Å).

Principal peaks in the range 10° ≤ 2θ ≤ 80°, in order of rising 2θ:
2θ (°)	d/Å	I/Imax
15.71	5.642	100
27.59	3.233	24
30.99	2.886	26
31.72	2.821	37
31.90	2.805	70
32.01	2.796	21
36.33	2.473	23
38.96	2.312	43
42.53	2.126	21
54.47	1.684	19

Cell and atoms:
Cell lengths 6.012, 6.012, 11.285 Å; angles 90.00, 90.00, 147.47 degrees
Sites, in units of the cell vectors:
Sc  0.128  0.872  0.540
Sc  0.128  0.872  0.960
Sc  0.872  0.128  0.040
Sc  0.872  0.128  0.460
Pa  0.400  0.600  0.750
Pa  0.600  0.400  0.250
Os  0.343  0.657  0.250
Os  0.657  0.343  0.750
C  0.060  0.940  0.750
C  0.231  0.769  0.126
C  0.231  0.769  0.374
C  0.500  0.500  0.000
C  0.500  0.500  0.500
C  0.769  0.231  0.626
C  0.769  0.231  0.874
C  0.940  0.060  0.250



(9)
For SmPa2OsC4, a crystal structure in Alexandria, relaxed with PBE gives the theoretical powder XRD pattern in this record (Cu Kα, 1.54184 Å).

Principal peaks in the range 10° ≤ 2θ ≤ 80°, in order of rising 2θ:
2θ (°)	d/Å	I/Imax
26.73	3.335	25
29.51	3.027	37
29.98	2.980	100
30.18	2.962	57
34.35	2.611	25
37.02	2.428	92
40.24	2.241	25
51.08	1.788	31
51.52	1.774	26
60.48	1.531	27

Cell and atoms:
Cell lengths 6.187, 6.187, 12.106 Å; angles 90.00, 90.00, 146.40 degrees
Sites, in units of the cell vectors:
Sm  0.113  0.887  0.750
Sm  0.887  0.113  0.250
Pa  0.367  0.633  0.543
Pa  0.367  0.633  0.957
Pa  0.633  0.367  0.043
Pa  0.633  0.367  0.457
Os  0.151  0.849  0.250
Os  0.849  0.151  0.750
C  0.000  0.000  0.000
C  0.000  0.000  0.500
C  0.262  0.738  0.126
C  0.262  0.738  0.374
C  0.428  0.572  0.750
C  0.572  0.428  0.250
C  0.738  0.262  0.626
C  0.738  0.262  0.874



(10)
For U2PaOsC4, a crystal structure in Alexandria, relaxed with PBE gives the theoretical powder XRD pattern in this record (Cu Kα, 1.54184 Å).

Principal peaks in the range 10° ≤ 2θ ≤ 80°, in order of rising 2θ:
2θ (°)	d/Å	I/Imax
27.54	3.238	37
30.40	2.941	54
30.73	2.910	28
31.32	2.856	100
35.71	2.514	17
35.86	2.504	17
38.22	2.355	70
43.77	2.068	17
49.60	1.838	17
52.82	1.733	18

Cell and atoms:
Cell lengths 6.124, 6.124, 11.639 Å; angles 90.00, 90.00, 147.62 degrees
Sites, in units of the cell vectors:
U  0.132  0.868  0.549
U  0.132  0.868  0.951
U  0.868  0.132  0.049
U  0.868  0.132  0.451
Pa  0.394  0.606  0.750
Pa  0.606  0.394  0.250
Os  0.348  0.652  0.250
Os  0.652  0.348  0.750
C  0.046  0.954  0.750
C  0.226  0.774  0.125
C  0.226  0.774  0.375
C  0.500  0.500  0.000
C  0.500  0.500  0.500
C  0.774  0.226  0.625
C  0.774  0.226  0.875
C  0.954  0.046  0.250



(11)
For Pm4Os3C5, a crystal structure in Alexandria, relaxed with PBE gives the theoretical powder XRD pattern in this record (Cu Kα, 1.54184 Å).

Principal peaks in the range 10° ≤ 2θ ≤ 80°, in order of rising 2θ:
2θ (°)	d/Å	I/Imax
27.49	3.245	24
30.67	2.915	25
30.88	2.896	26
31.93	2.803	100
33.39	2.684	27
33.52	2.674	83
35.82	2.507	60
37.68	2.387	27
38.66	2.329	33
45.82	1.980	39

Cell and atoms:
Cell lengths 6.272, 6.272, 9.835 Å; angles 113.45, 113.45, 36.81 degrees
Sites, in units of the cell vectors:
Pm  0.107  0.107  0.403
Pm  0.258  0.258  0.833
Pm  0.742  0.742  0.167
Pm  0.893  0.893  0.597
Os  0.000  0.000  0.000
Os  0.451  0.451  0.172
Os  0.549  0.549  0.828
C  0.307  0.307  0.389
C  0.386  0.386  0.323
C  0.500  0.500  0.000
C  0.614  0.614  0.677
C  0.693  0.693  0.611



(12)
For PmSm2OsC2, a crystal structure in Alexandria, relaxed with PBE gives the theoretical powder XRD pattern in this record (Cu Kα, 1.54184 Å).

Principal peaks in the range 10° ≤ 2θ ≤ 80°, in order of rising 2θ:
2θ (°)	d/Å	I/Imax
17.41	5.094	9
31.32	2.856	27
31.78	2.816	15
32.18	2.782	100
33.28	2.692	9
45.22	2.005	13
47.07	1.931	11
56.30	1.634	17
57.63	1.599	10
77.96	1.226	8

Cell and atoms:
Cell lengths 5.712, 11.263, 3.861 Å; angles 90.00, 90.00, 90.00 degrees
Sites, in units of the cell vectors:
Pm  0.000  0.000  0.000
Pm  0.500  0.500  0.500
Sm  0.037  0.295  0.500
Sm  0.463  0.795  0.000
Sm  0.537  0.205  0.000
Sm  0.963  0.705  0.500
Os  0.000  0.500  0.000
Os  0.500  0.000  0.500
C  0.241  0.885  0.500
C  0.259  0.385  0.000
C  0.741  0.615  0.000
C  0.759  0.115  0.500